Entry 1:
Calculated PXRD pattern of La5Pr7Y for copper Kα, from the PBE geometry in Alexandria.
No peak broadening, texture or thermal motion is included.

Crystal structure
```
data_La5Pr7Y
_chemical_formula_sum 'La10 Pr14 Y2'
_space_group_name_H-M_alt 'I m m 2'
_space_group_IT_number 44
_space_group_name_Hall 'I 2 -2'
_cell_length_a 6.985
_cell_length_b 11.212
_cell_length_c 12.192
_cell_angle_alpha 90.00
_cell_angle_beta 90.00
_cell_angle_gamma 90.00
loop_
_atom_site_label
_atom_site_fract_x
_atom_site_fract_y
_atom_site_fract_z
_atom_site_occupancy
La1 0.000 0.000 0.000 1
La2 0.222 0.281 0.549 1
Pr1 0.000 0.000 0.521 1
Pr2 0.000 0.169 0.284 1
Pr3 0.000 0.181 0.786 1
Pr4 0.000 0.500 0.038 1
Pr5 0.000 0.500 0.337 1
Y1 0.000 0.500 0.740 1
```

Principal peaks in the range 2θ = 5–70°, in order of rising 2θ:
| d (Å) | I/Imax |
| --- | --- |
| 3.295 | 30 |
| 3.048 | 78 |
| 3.030 | 52 |
| 2.964 | 40 |
| 2.899 | 100 |
| 2.666 | 97 |


Entry 2:
Calculated PXRD pattern of La2PrY7 for copper Kα, from the PBE geometry in Alexandria.
No peak broadening, texture or thermal motion is included.

Crystal structure
```
data_La2PrY7
_chemical_formula_sum 'La4 Pr2 Y14'
_space_group_name_H-M_alt 'C 1 2/m 1'
_space_group_IT_number 12
_space_group_name_Hall '-C 2y'
_cell_length_a 18.513
_cell_length_b 5.137
_cell_length_c 7.228
_cell_angle_alpha 90.00
_cell_angle_beta 102.00
_cell_angle_gamma 90.00
loop_
_atom_site_label
_atom_site_fract_x
_atom_site_fract_y
_atom_site_fract_z
_atom_site_occupancy
La1 0.199 0.000 0.101 1
Pr1 0.000 0.000 0.500 1
Y1 0.000 0.000 0.000 1
Y2 0.099 0.500 0.800 1
Y3 0.100 0.500 0.302 1
Y4 0.199 0.000 0.600 1
```

Principal peaks in the range 2θ = 5–70°, in order of rising 2θ:
| d (Å) | I/Imax |
| --- | --- |
| 2.958 | 100 |
| 2.575 | 17 |
| 2.568 | 17 |
| 2.542 | 16 |
| 1.807 | 17 |
| 1.551 | 14 |


Entry 3:
Calculated PXRD pattern of La7Pr2Y for copper Kα, from the PBE geometry in Alexandria.
No peak broadening, texture or thermal motion is included.

Crystal structure
```
data_La7Pr2Y
_chemical_formula_sum 'La7 Pr2 Y1'
_space_group_name_H-M_alt 'P -1'
_space_group_IT_number 2
_space_group_name_Hall '-P 1'
_cell_length_a 6.413
_cell_length_b 6.429
_cell_length_c 9.816
_cell_angle_alpha 108.78
_cell_angle_beta 102.59
_cell_angle_gamma 99.80
loop_
_atom_site_label
_atom_site_fract_x
_atom_site_fract_y
_atom_site_fract_z
_atom_site_occupancy
La1 0.000 0.000 0.000 1
La2 0.097 0.198 0.697 1
La3 0.201 0.399 0.401 1
La4 0.399 0.800 0.799 1
Pr1 0.301 0.601 0.101 1
Y1 0.500 0.000 0.500 1
```

Principal peaks in the range 2θ = 5–70°, in order of rising 2θ:
| d (Å) | I/Imax |
| --- | --- |
| 3.032 | 100 |
| 3.026 | 100 |
| 2.633 | 34 |
| 2.622 | 34 |
| 1.855 | 36 |
| 1.579 | 36 |


Entry 4:
Calculated PXRD pattern of La5Pr5Y for copper Kα, from the PBE geometry in Alexandria.
No peak broadening, texture or thermal motion is included.

Crystal structure
```
data_La5Pr5Y
_chemical_formula_sum 'La5 Pr5 Y1'
_space_group_name_H-M_alt 'P 1'
_space_group_IT_number 1
_space_group_name_Hall 'P 1'
_cell_length_a 5.264
_cell_length_b 6.428
_cell_length_c 13.358
_cell_angle_alpha 103.84
_cell_angle_beta 90.05
_cell_angle_gamma 114.11
loop_
_atom_site_label
_atom_site_fract_x
_atom_site_fract_y
_atom_site_fract_z
_atom_site_occupancy
La1 0.000 0.000 0.000 1
La2 0.090 0.180 0.639 1
La3 0.272 0.543 0.911 1
La4 0.546 0.091 0.819 1
La5 0.636 0.272 0.458 1
Pr1 0.182 0.362 0.275 1
Pr2 0.363 0.726 0.547 1
Pr3 0.455 0.910 0.183 1
Pr4 0.726 0.452 0.094 1
Pr5 0.910 0.819 0.365 1
Y1 0.818 0.636 0.729 1
```

Principal peaks in the range 2θ = 5–70°, in order of rising 2θ:
| d (Å) | I/Imax |
| --- | --- |
| 3.031 | 100 |
| 2.632 | 17 |
| 2.622 | 34 |
| 1.858 | 24 |
| 1.586 | 15 |
| 1.582 | 22 |


Entry 5:
Calculated PXRD pattern of La3Pr6Y2 for copper Kα, from the PBE geometry in Alexandria.
No peak broadening, texture or thermal motion is included.

Crystal structure
```
data_La3Pr6Y2
_chemical_formula_sum 'La6 Pr12 Y4'
_space_group_name_H-M_alt 'I 4/m m m'
_space_group_IT_number 139
_space_group_name_Hall '-I 4 2'
_cell_length_a 4.898
_cell_length_b 4.898
_cell_length_c 34.456
_cell_angle_alpha 90.00
_cell_angle_beta 90.00
_cell_angle_gamma 90.00
loop_
_atom_site_label
_atom_site_fract_x
_atom_site_fract_y
_atom_site_fract_z
_atom_site_occupancy
La1 0.000 0.000 0.000 1
La2 0.000 0.000 0.206 1
Pr1 0.000 0.000 0.307 1
Pr2 0.000 0.500 0.119 1
Y1 0.000 0.000 0.455 1
```

Principal peaks in the range 2θ = 5–70°, in order of rising 2θ:
| d (Å) | I/Imax |
| --- | --- |
| 3.213 | 100 |
| 3.016 | 22 |
| 2.699 | 66 |
| 2.448 | 60 |
| 1.863 | 21 |
| 1.524 | 22 |


Entry 6:
Calculated PXRD pattern of LaPr8Y6 for copper Kα, from the PBE geometry in Alexandria.
No peak broadening, texture or thermal motion is included.

Crystal structure
```
data_LaPr8Y6
_chemical_formula_sum 'La3 Pr24 Y18'
_space_group_name_H-M_alt 'R -3'
_space_group_IT_number 148
_space_group_name_Hall '-R 3'
_cell_length_a 9.2351
_cell_length_b 9.2351
_cell_length_c 21.2827
_cell_angle_alpha 90.00
_cell_angle_beta 90.00
_cell_angle_gamma 120.00
loop_
_atom_site_label
_atom_site_fract_x
_atom_site_fract_y
_atom_site_fract_z
_atom_site_occupancy
La1 0.0000 0.0000 0.0000 1
Pr1 0.0000 0.0000 0.4221 1
Pr2 0.0796 0.5601 0.8057 1
Y1 0.0405 0.2407 0.7061 1
```

Principal peaks in the range 2θ = 5–70°, in order of rising 2θ:
| d (Å) | I/Imax |
| --- | --- |
| 2.993 | 29 |
| 2.911 | 100 |
| 2.842 | 32 |
| 2.813 | 10 |
| 2.628 | 10 |
| 2.496 | 14 |


Entry 7:
Calculated PXRD pattern of La3Pr3Y2 for copper Kα, from the PBE geometry in Alexandria.
No peak broadening, texture or thermal motion is included.

Crystal structure
```
data_La3Pr3Y2
_chemical_formula_sum 'La6 Pr6 Y4'
_space_group_name_H-M_alt 'I m m m'
_space_group_IT_number 71
_space_group_name_Hall '-I 2 2'
_cell_length_a 5.229
_cell_length_b 5.237
_cell_length_c 20.755
_cell_angle_alpha 90.00
_cell_angle_beta 90.00
_cell_angle_gamma 90.00
loop_
_atom_site_label
_atom_site_fract_x
_atom_site_fract_y
_atom_site_fract_z
_atom_site_occupancy
La1 0.000 0.000 0.000 1
La2 0.000 0.500 0.127 1
Pr1 0.000 0.000 0.500 1
Pr2 0.000 0.500 0.372 1
Y1 0.000 0.000 0.249 1
```

Principal peaks in the range 2θ = 5–70°, in order of rising 2θ:
| d (Å) | I/Imax |
| --- | --- |
| 3.013 | 100 |
| 2.617 | 34 |
| 2.594 | 16 |
| 1.842 | 24 |
| 1.577 | 29 |
| 1.567 | 14 |


Entry 8:
Calculated PXRD pattern of La2Pr4Y for copper Kα, from the PBE geometry in Alexandria.
No peak broadening, texture or thermal motion is included.

Crystal structure
```
data_La2Pr4Y
_chemical_formula_sum 'La6 Pr12 Y3'
_space_group_name_H-M_alt 'R -3 m'
_space_group_IT_number 166
_space_group_name_Hall '-R 3 2"'
_cell_length_a 3.7263
_cell_length_b 3.7263
_cell_length_c 62.7264
_cell_angle_alpha 90.00
_cell_angle_beta 90.00
_cell_angle_gamma 120.00
loop_
_atom_site_label
_atom_site_fract_x
_atom_site_fract_y
_atom_site_fract_z
_atom_site_occupancy
La1 0.0000 0.0000 0.0947 1
Pr1 0.0000 0.0000 0.1910 1
Pr2 0.0000 0.0000 0.3800 1
Y1 0.0000 0.0000 0.0000 1
```

Principal peaks in the range 2θ = 5–70°, in order of rising 2θ:
| d (Å) | I/Imax |
| --- | --- |
| 3.161 | 36 |
| 2.987 | 71 |
| 2.870 | 98 |
| 2.809 | 100 |
| 1.863 | 53 |
| 1.581 | 61 |